Calculated powder diffractogram
Compound: Tb2Pm2Tc
Radiation: Cu Kα (weighted mean of Kα1 and Kα2)
Structure: a structure optimized by DFT (PBE)

Most intense lines, 2θ = 15–90°, in order of rising 2θ:
(2 0 -2), 28.03°, intensity 36
(0 4 0), 29.43°, intensity 39
(2 2 0), 30.55°, intensity 100
(0 2 2), 30.79°, intensity 60
(1 3 -2), 32.76°, intensity 64
(1 1 2), 36.12°, intensity 32
(3 1 -2), 37.80°, intensity 23
(2 2 1), 38.22°, intensity 18
(2 4 -2), 41.11°, intensity 33
(0 2 4), 57.78°, intensity 17

Structure:
Cell: 7.499 12.140 7.424 Å, 90.00 117.00 90.00°
Space group C2/m (No. 12)
Unique sites:
Tb 0.048 0.226 0.254 (multiplicity 8)
Pm 0.226 0.500 0.906 (multiplicity 4)
Pm 0.238 0.000 0.585 (multiplicity 4)
Tc 0.000 0.371 0.500 (multiplicity 4)


Calculated powder diffractogram
Compound: PrC
Radiation: Cu Kα (weighted mean of Kα1 and Kα2)
Structure: a structure optimized by DFT (PBE)

Most intense lines, 2θ = 15–90°, in order of rising 2θ:
(2 0 -1), 26.05°, intensity 97
(1 1 0), 26.44°, intensity 71
(2 0 1), 27.22°, intensity 93
(0 0 2), 27.43°, intensity 73
(1 1 -1), 29.59°, intensity 81
(1 1 1), 30.12°, intensity 100
(1 1 -2), 38.05°, intensity 73
(3 1 0), 42.33°, intensity 45
(1 1 3), 50.54°, intensity 36
(3 1 2), 52.18°, intensity 34

Structure:
Cell: 7.815 3.737 6.510 Å, 90.00 92.79 90.00°
Space group C2/m (No. 12)
Unique sites:
Pr 0.137 0.000 0.279 (multiplicity 4)
C 0.078 0.500 0.549 (multiplicity 4)


Calculated powder diffractogram
Compound: Ba2Ti6N2O11
Radiation: Cu Kα (weighted mean of Kα1 and Kα2)
Structure: a structure optimized by DFT (PBE)

Most intense lines, 2θ = 15–90°, in order of rising 2θ:
(0 0 2), 19.50°, intensity 56
(4 0 -1), 24.00°, intensity 39
(3 1 0), 28.65°, intensity 76
(3 1 -1), 29.44°, intensity 84
(1 1 -2), 29.96°, intensity 52
(3 1 1), 31.13°, intensity 100
(2 0 3), 33.35°, intensity 38
(4 0 -4), 43.23°, intensity 43
(0 2 0), 45.94°, intensity 52
(4 2 -4), 64.95°, intensity 39

Structure:
Cell: 15.377 3.951 9.203 Å, 90.00 98.45 90.00°
Space group Cm (No. 8)
Unique sites:
Ba 0.000 0.000 0.000 (multiplicity 2)
Ba 0.099 0.000 0.540 (multiplicity 2)
Ti 0.177 0.500 0.864 (multiplicity 2)
Ti 0.219 0.500 0.202 (multiplicity 2)
Ti 0.290 0.500 0.523 (multiplicity 2)
Ti 0.308 0.000 0.998 (multiplicity 2)
Ti 0.376 0.000 0.330 (multiplicity 2)
Ti 0.431 0.000 0.676 (multiplicity 2)
N 0.286 0.500 0.004 (multiplicity 2)
N 0.343 0.500 0.343 (multiplicity 2)
O 0.044 0.500 0.768 (multiplicity 2)
O 0.119 0.500 0.064 (multiplicity 2)
O 0.177 0.500 0.385 (multiplicity 2)
O 0.182 0.000 0.876 (multiplicity 2)
O 0.210 0.500 0.676 (multiplicity 2)
O 0.247 0.000 0.195 (multiplicity 2)
O 0.306 0.000 0.532 (multiplicity 2)
O 0.381 0.000 0.855 (multiplicity 2)
O 0.411 0.500 0.656 (multiplicity 2)
O 0.416 0.000 0.150 (multiplicity 2)
O 0.473 0.000 0.475 (multiplicity 2)


Calculated powder diffractogram
Compound: Li3HCl2
Radiation: Cu Kα (weighted mean of Kα1 and Kα2)
Structure: a structure optimized by DFT (PBE)

Most intense lines, 2θ = 15–90°, in order of rising 2θ:
(0 0 2), 19.74°, intensity 28
(1 0 0), 27.70°, intensity 20
(1 0 1), 29.46°, intensity 100
(0 0 3), 29.81°, intensity 22
(0 1 2), 34.25°, intensity 33
(1 0 3), 41.14°, intensity 18
(1 1 0), 48.99°, intensity 22
(1 0 4), 49.44°, intensity 28
(0 2 1), 58.20°, intensity 11
(1 1 3), 58.40°, intensity 15

Structure:
Cell: 3.7188 3.7188 8.9927 Å, 90.00 90.00 120.00°
Space group P3m1 (No. 156)
Unique sites:
Li 0.0000 0.0000 0.0000 (multiplicity 1)
Li 0.3333 0.6667 0.6317 (multiplicity 1)
Li 0.6667 0.3333 0.3654 (multiplicity 1)
H 0.3333 0.6667 0.4238 (multiplicity 1)
Cl 0.0000 0.0000 0.7348 (multiplicity 1)
Cl 0.6667 0.3333 0.1020 (multiplicity 1)


Calculated powder diffractogram
Compound: Pr4Y10Pu
Radiation: Cu Kα (weighted mean of Kα1 and Kα2)
Structure: a structure optimized by DFT (PBE)

Most intense lines, 2θ = 15–90°, in order of rising 2θ:
(2 0 2), 27.56°, intensity 33
(3 2 1), 30.36°, intensity 59
(4 0 0), 31.23°, intensity 84
(2 2 2), 31.76°, intensity 100
(3 1 2), 33.68°, intensity 38
(1 0 3), 35.21°, intensity 22
(3 3 2), 40.57°, intensity 37
(4 4 0), 44.76°, intensity 21
(4 0 4), 56.89°, intensity 29
(7 3 2), 66.59°, intensity 23

Structure:
Cell: 11.454 11.454 7.844 Å, 90.00 90.00 90.00°
Space group I4/mmm (No. 139)
Unique sites:
Pr 0.229 0.229 0.000 (multiplicity 8)
Y 0.000 0.207 0.288 (multiplicity 16)
Y 0.000 0.500 0.250 (multiplicity 4)
Pu 0.000 0.000 0.000 (multiplicity 2)


Calculated powder diffractogram
Compound: Dy2BiSe
Radiation: Cu Kα (weighted mean of Kα1 and Kα2)
Structure: a structure optimized by DFT (PBE)

Most intense lines, 2θ = 15–90°, in order of rising 2θ:
(0 2 0), 29.35°, intensity 52
(1 0 2), 29.55°, intensity 100
(1 2 2), 42.13°, intensity 95
(2 0 0), 42.45°, intensity 19
(0 2 4), 52.16°, intensity 19
(2 2 0), 52.45°, intensity 21
(1 4 2), 69.11°, intensity 18
(2 2 4), 69.44°, intensity 16
(2 4 0), 77.00°, intensity 18
(3 2 2), 77.46°, intensity 13

Structure:
Cell: 4.258 6.087 8.582 Å, 90.00 90.00 90.00°
Space group Pmmn (No. 59, origin choice 2)
Unique sites:
Dy 0.250 0.250 0.112 (multiplicity 2)
Dy 0.250 0.250 0.646 (multiplicity 2)
Bi 0.250 0.750 0.623 (multiplicity 2)
Se 0.250 0.750 0.120 (multiplicity 2)


Calculated powder diffractogram
Compound: PaZnCo5As2
Radiation: Cu Kα (weighted mean of Kα1 and Kα2)
Structure: a structure optimized by DFT (PBE)

Most intense lines, 2θ = 15–90°, in order of rising 2θ:
(0 0 3), 26.31°, intensity 34
(1 0 2), 29.75°, intensity 100
(1 1 0), 34.06°, intensity 17
(1 1 1), 35.22°, intensity 67
(1 1 2), 38.52°, intensity 31
(2 0 0), 48.94°, intensity 50
(1 1 4), 49.89°, intensity 75
(2 0 3), 56.41°, intensity 16
(2 1 2), 58.33°, intensity 31
(2 2 0), 71.72°, intensity 15

Structure:
Cell: 3.722 3.722 10.161 Å, 90.00 90.00 90.00°
Space group P4/mmm (No. 123)
Unique sites:
Pa 0.000 0.000 0.000 (multiplicity 1)
Zn 0.000 0.000 0.500 (multiplicity 1)
Co 0.000 0.500 0.348 (multiplicity 4)
Co 0.500 0.500 0.000 (multiplicity 1)
As 0.500 0.500 0.222 (multiplicity 2)


Calculated powder diffractogram
Compound: Pa3O7F
Radiation: Cu Kα (weighted mean of Kα1 and Kα2)
Structure: a structure optimized by DFT (PBE)

Most intense lines, 2θ = 15–90°, in order of rising 2θ:
(0 0 1), 21.08°, intensity 100
(2 0 0), 25.26°, intensity 62
(1 3 0), 25.42°, intensity 95
(2 0 1), 33.13°, intensity 46
(1 3 1), 33.26°, intensity 69
(0 0 2), 42.93°, intensity 21
(3 3 0), 44.60°, intensity 27
(0 6 0), 44.93°, intensity 22
(3 3 1), 49.83°, intensity 31
(2 0 2), 50.52°, intensity 50

Structure:
Cell: 7.053 12.111 4.214 Å, 90.00 90.00 90.00°
Space group Cmmm (No. 65)
Unique sites:
Pa 0.000 0.000 0.000 (multiplicity 2)
Pa 0.000 0.305 0.000 (multiplicity 4)
O 0.000 0.000 0.500 (multiplicity 2)
O 0.000 0.309 0.500 (multiplicity 4)
O 0.188 0.148 0.000 (multiplicity 8)
F 0.000 0.500 0.000 (multiplicity 2)